Record 1
ThZrRu: computed powder XRD pattern (copper Kα), based on a DFT-relaxed cell (GGA-PBE, Alexandria).

Main lines, sorted by position (10 to 90 degrees two-theta):
two_theta	intensity
27.18	27.3
32.03	100.0
33.01	24.9
34.28	44.3
34.40	24.8
35.32	17.1
35.50	93.0
36.81	31.0
45.74	29.0
54.70	18.7

Structure:
Cell lengths 8.833, 8.833, 8.833 Å; angles 126.62, 76.02, 130.18 degrees
Element x y z (fractional)
Th (0.016, 0.250, 0.266)
Th (0.432, 0.396, 0.536)
Th (0.454, 0.904, 0.050)
Th (0.854, 0.404, 0.950)
Th (0.860, 0.896, 0.464)
Th (0.984, 0.750, 0.734)
Zr (0.183, 0.336, 0.905)
Zr (0.183, 0.778, 0.346)
Zr (0.432, 0.278, 0.095)
Zr (0.432, 0.836, 0.654)
Zr (0.651, 0.151, 0.500)
Zr (0.651, 0.651, 0.000)
Ru (0.101, 0.453, 0.672)
Ru (0.101, 0.929, 0.149)
Ru (0.366, 0.143, 0.723)
Ru (0.420, 0.643, 0.277)
Ru (0.781, 0.429, 0.328)
Ru (0.781, 0.953, 0.851)

Record 2
RbLiWBr6: computed powder XRD pattern (copper Kα), based on a DFT-relaxed cell (GGA-PBE, Alexandria).

Main lines, sorted by position (10 to 90 degrees two-theta):
two_theta	intensity
11.51	65.7
15.81	84.1
18.73	70.9
22.79	22.2
28.18	92.2
34.81	100.0
41.39	22.3
43.91	28.1
45.20	40.5
54.58	21.9

Structure:
Cell lengths 6.950, 6.950, 15.371 Å; angles 90.00, 90.00, 120.00 degrees
Element x y z (fractional)
Rb (0.000, 0.000, 0.000)
Rb (0.000, 0.000, 0.500)
Li (0.333, 0.667, 0.250)
Li (0.667, 0.333, 0.750)
W (0.333, 0.667, 0.750)
W (0.667, 0.333, 0.250)
Br (0.021, 0.379, 0.654)
Br (0.021, 0.642, 0.846)
Br (0.358, 0.379, 0.846)
Br (0.358, 0.979, 0.654)
Br (0.379, 0.021, 0.154)
Br (0.379, 0.358, 0.346)
Br (0.621, 0.642, 0.654)
Br (0.621, 0.979, 0.846)
Br (0.642, 0.021, 0.346)
Br (0.642, 0.621, 0.154)
Br (0.979, 0.358, 0.154)
Br (0.979, 0.621, 0.346)

Record 3
Li3Zn5: computed powder XRD pattern (copper Kα), based on a DFT-relaxed cell (GGA-PBE, Alexandria).

Main lines, sorted by position (10 to 90 degrees two-theta):
two_theta	intensity
24.24	44.1
27.13	19.3
27.95	76.8
31.96	27.8
40.66	86.7
41.40	100.0
41.73	52.1
43.21	45.4
43.64	20.4
61.63	37.0

Structure:
Cell lengths 5.347, 10.100, 4.329 Å; angles 90.00, 90.00, 90.00 degrees
Element x y z (fractional)
Li (0.000, 0.000, 0.000)
Li (0.147, 0.368, 0.500)
Li (0.353, 0.868, 0.500)
Li (0.500, 0.500, 0.000)
Li (0.647, 0.132, 0.500)
Li (0.853, 0.632, 0.500)
Zn (0.000, 0.500, 0.000)
Zn (0.148, 0.742, 0.000)
Zn (0.150, 0.111, 0.500)
Zn (0.350, 0.611, 0.500)
Zn (0.352, 0.242, 0.000)
Zn (0.500, 0.000, 0.000)
Zn (0.648, 0.758, 0.000)
Zn (0.650, 0.389, 0.500)
Zn (0.850, 0.889, 0.500)
Zn (0.852, 0.258, 0.000)

Record 4
Cs3Np3HgSe8: computed powder XRD pattern (copper Kα), based on a DFT-relaxed cell (GGA-PBE, Alexandria).

Main lines, sorted by position (10 to 90 degrees two-theta):
two_theta	intensity
10.49	53.3
21.07	14.4
25.25	17.3
28.09	100.0
34.82	18.3
37.53	34.4
42.63	36.2
43.43	13.7
51.83	18.2
69.28	15.2

Structure:
Cell lengths 8.483, 8.483, 9.750 Å; angles 115.77, 115.77, 60.01 degrees
Element x y z (fractional)
Cs (0.000, 0.000, 0.000)
Cs (0.000, 0.500, 0.000)
Cs (0.500, 0.000, 0.000)
Np (0.000, 0.500, 0.500)
Np (0.500, 0.000, 0.500)
Np (0.500, 0.500, 0.500)
Hg (0.000, 0.000, 0.500)
Se (0.235, 0.235, 0.682)
Se (0.236, 0.711, 0.684)
Se (0.272, 0.272, 0.316)
Se (0.289, 0.764, 0.316)
Se (0.711, 0.236, 0.684)
Se (0.728, 0.728, 0.684)
Se (0.764, 0.289, 0.316)
Se (0.765, 0.765, 0.318)

Record 5
Cs2NdHg2Te4: computed powder XRD pattern (copper Kα), based on a DFT-relaxed cell (GGA-PBE, Alexandria).

Main lines, sorted by position (10 to 90 degrees two-theta):
two_theta	intensity
10.57	100.0
24.16	31.7
25.04	32.0
26.99	58.9
28.46	67.7
28.59	71.6
30.93	30.9
32.69	39.2
35.73	38.9
35.95	73.6

Structure:
Cell lengths 9.026, 9.026, 8.836 Å; angles 107.91, 107.91, 32.12 degrees
Element x y z (fractional)
Cs (0.134, 0.134, 0.083)
Cs (0.866, 0.866, 0.917)
Nd (0.000, 0.000, 0.500)
Hg (0.333, 0.333, 0.510)
Hg (0.667, 0.667, 0.490)
Te (0.196, 0.196, 0.673)
Te (0.499, 0.499, 0.740)
Te (0.501, 0.501, 0.260)
Te (0.804, 0.804, 0.327)

Record 6
HoOsPbO6: computed powder XRD pattern (copper Kα), based on a DFT-relaxed cell (GGA-PBE, Alexandria).

Main lines, sorted by position (10 to 90 degrees two-theta):
two_theta	intensity
25.55	25.3
28.83	90.4
29.23	63.9
29.71	100.0
30.09	54.6
30.42	25.6
30.55	44.9
46.52	30.0
50.50	34.7
52.50	35.3

Structure:
Cell lengths 6.979, 6.979, 7.160 Å; angles 118.48, 118.48, 62.67 degrees
Element x y z (fractional)
Ho (0.000, 0.000, 0.000)
Ho (0.000, 0.000, 0.500)
Os (0.000, 0.500, 0.000)
Os (0.500, 0.000, 0.000)
Pb (0.367, 0.367, 0.572)
Pb (0.633, 0.633, 0.428)
O (0.132, 0.132, 0.370)
O (0.167, 0.167, 0.913)
O (0.171, 0.578, 0.937)
O (0.174, 0.586, 0.314)
O (0.414, 0.826, 0.686)
O (0.422, 0.829, 0.063)
O (0.578, 0.171, 0.937)
O (0.586, 0.174, 0.314)
O (0.826, 0.414, 0.686)
O (0.829, 0.422, 0.063)
O (0.833, 0.833, 0.087)
O (0.868, 0.868, 0.630)

Record 7
Sm3OsO7: computed powder XRD pattern (copper Kα), based on a DFT-relaxed cell (GGA-PBE, Alexandria).

Main lines, sorted by position (10 to 90 degrees two-theta):
two_theta	intensity
28.87	100.0
29.04	89.7
33.17	23.0
33.75	45.4
48.05	47.7
48.26	17.1
56.69	19.9
57.32	26.6
57.60	18.8
59.82	10.0

Structure:
Cell lengths 6.570, 6.570, 7.543 Å; angles 90.00, 90.00, 69.40 degrees
Element x y z (fractional)
Sm (0.000, 0.000, 0.000)
Sm (0.000, 0.000, 0.500)
Sm (0.073, 0.478, 0.750)
Sm (0.478, 0.073, 0.250)
Sm (0.522, 0.927, 0.750)
Sm (0.927, 0.522, 0.250)
Os (0.500, 0.500, 0.000)
Os (0.500, 0.500, 0.500)
O (0.109, 0.156, 0.250)
O (0.156, 0.109, 0.750)
O (0.185, 0.562, 0.038)
O (0.185, 0.562, 0.462)
O (0.415, 0.585, 0.750)
O (0.438, 0.815, 0.038)
O (0.438, 0.815, 0.462)
O (0.562, 0.185, 0.538)
O (0.562, 0.185, 0.962)
O (0.585, 0.415, 0.250)
O (0.815, 0.438, 0.538)
O (0.815, 0.438, 0.962)
O (0.844, 0.891, 0.250)
O (0.891, 0.844, 0.750)

Record 8
Dy5Y4Tm3: computed powder XRD pattern (copper Kα), based on a DFT-relaxed cell (GGA-PBE, Alexandria).

Main lines, sorted by position (10 to 90 degrees two-theta):
two_theta	intensity
29.03	29.5
29.52	23.3
29.78	27.6
30.59	100.0
31.48	49.9
32.00	45.7
32.72	76.3
33.07	26.2
33.94	71.5
44.46	38.9

Structure:
Cell lengths 8.536, 8.536, 9.254 Å; angles 115.23, 115.23, 40.05 degrees
Element x y z (fractional)
Dy (0.000, 0.000, 0.000)
Dy (0.327, 0.327, 0.616)
Dy (0.426, 0.426, 0.298)
Dy (0.574, 0.574, 0.702)
Dy (0.673, 0.673, 0.384)
Y (0.080, 0.080, 0.438)
Y (0.214, 0.214, 0.878)
Y (0.786, 0.786, 0.122)
Y (0.920, 0.920, 0.562)
Tm (0.210, 0.210, 0.233)
Tm (0.500, 0.500, 0.000)
Tm (0.790, 0.790, 0.767)

Record 9
Np2Ga8Ir: computed powder XRD pattern (copper Kα), based on a DFT-relaxed cell (GGA-PBE, Alexandria).

Main lines, sorted by position (10 to 90 degrees two-theta):
two_theta	intensity
20.57	50.4
31.82	30.5
33.49	20.7
38.20	100.0
41.85	50.6
47.07	12.2
53.52	14.8
59.70	13.1
60.68	16.8
74.00	28.7

Structure:
Cell lengths 4.317, 4.317, 11.119 Å; angles 90.00, 90.00, 90.00 degrees
Element x y z (fractional)
Np (0.000, 0.000, 0.191)
Np (0.000, 0.000, 0.809)
Ga (0.000, 0.500, 0.000)
Ga (0.000, 0.500, 0.376)
Ga (0.000, 0.500, 0.624)
Ga (0.500, 0.000, 0.000)
Ga (0.500, 0.000, 0.376)
Ga (0.500, 0.000, 0.624)
Ga (0.500, 0.500, 0.192)
Ga (0.500, 0.500, 0.808)
Ir (0.000, 0.000, 0.500)

Record 10
Dy6Y3Tm2Sc: computed powder XRD pattern (copper Kα), based on a DFT-relaxed cell (GGA-PBE, Alexandria).

Main lines, sorted by position (10 to 90 degrees two-theta):
two_theta	intensity
31.12	33.9
31.16	100.0
36.12	67.2
51.96	23.8
52.07	23.3
61.84	32.6
61.94	23.0
64.92	8.0
76.64	7.4
84.94	7.8

Structure:
Cell lengths 6.095, 6.095, 11.640 Å; angles 95.00, 95.00, 119.94 degrees
Element x y z (fractional)
Dy (0.081, 0.413, 0.245)
Dy (0.250, 0.250, 0.755)
Dy (0.413, 0.081, 0.245)
Dy (0.587, 0.919, 0.755)
Dy (0.750, 0.750, 0.245)
Dy (0.919, 0.587, 0.755)
Y (0.167, 0.833, 0.500)
Y (0.500, 0.500, 0.500)
Y (0.833, 0.167, 0.500)
Tm (0.333, 0.667, 0.000)
Tm (0.667, 0.333, 0.000)
Sc (0.000, 0.000, 0.000)

Record 11
Ti8H3Pb2: computed powder XRD pattern (copper Kα), based on a DFT-relaxed cell (GGA-PBE, Alexandria).

Main lines, sorted by position (10 to 90 degrees two-theta):
two_theta	intensity
15.45	35.9
21.78	46.7
26.81	30.2
32.04	55.3
34.80	74.4
39.11	100.0
39.27	31.1
44.40	49.9
60.75	33.0
78.17	25.3

Structure:
Cell lengths 4.081, 4.081, 11.471 Å; angles 90.00, 90.00, 90.00 degrees
Element x y z (fractional)
Ti (0.000, 0.000, 0.197)
Ti (0.000, 0.000, 0.803)
Ti (0.000, 0.500, 0.000)
Ti (0.000, 0.500, 0.382)
Ti (0.000, 0.500, 0.618)
Ti (0.500, 0.000, 0.000)
Ti (0.500, 0.000, 0.382)
Ti (0.500, 0.000, 0.618)
H (0.000, 0.000, 0.000)
H (0.000, 0.000, 0.361)
H (0.000, 0.000, 0.639)
Pb (0.500, 0.500, 0.190)
Pb (0.500, 0.500, 0.810)

Record 12
In5Bi3H2: computed powder XRD pattern (copper Kα), based on a DFT-relaxed cell (GGA-PBE, Alexandria).

Main lines, sorted by position (10 to 90 degrees two-theta):
two_theta	intensity
26.17	25.6
28.51	49.1
30.37	90.2
31.70	100.0
31.98	48.6
32.61	24.8
33.53	60.7
34.09	40.9
35.44	39.4
38.54	24.7

Structure:
Cell lengths 5.729, 7.795, 11.780 Å; angles 99.82, 91.06, 99.37 degrees
Element x y z (fractional)
In (0.197, 0.017, 0.278)
In (0.254, 0.394, 0.825)
In (0.256, 0.306, 0.108)
In (0.270, 0.701, 0.634)
In (0.282, 0.982, 0.865)
In (0.718, 0.018, 0.135)
In (0.730, 0.299, 0.366)
In (0.744, 0.694, 0.892)
In (0.746, 0.606, 0.175)
In (0.803, 0.983, 0.722)
Bi (0.221, 0.172, 0.552)
Bi (0.248, 0.729, 0.047)
Bi (0.252, 0.597, 0.353)
Bi (0.748, 0.403, 0.647)
Bi (0.752, 0.271, 0.953)
Bi (0.779, 0.828, 0.448)
H (0.347, 0.973, 0.585)
H (0.427, 0.418, 0.395)
H (0.573, 0.582, 0.605)
H (0.653, 0.027, 0.415)